Calculated powder XRD pattern of Y2TiNiO6 for Cu Kα, 1.54184 Å, from a GGA+U-relaxed structure.
Neutral-atom scattering factors, no anomalous dispersion.

Most intense lines, 15° ≤ 2θ ≤ 90°, in order of rising 2θ:
- hkl 1 1 0, 25.7°, rel. 18
- hkl 0 2 0, 31.7°, rel. 38
- hkl 1 1 1, 32.7°, rel. 100
- hkl 1 1 -3, 33.0°, rel. 98
- hkl 2 0 -2, 33.7°, rel. 45
- hkl 2 2 -2, 46.9°, rel. 40
- hkl 0 0 4, 47.4°, rel. 31
- hkl 0 2 4, 58.1°, rel. 18
- hkl 3 1 -1, 59.5°, rel. 24
- hkl 3 1 -5, 60.0°, rel. 23

Structure:
Unit cell a=5.319 b=5.648 c=9.288 alpha=90.00 beta=124.23 gamma=90.00
Element x y z (fractional)
Y  0.228  0.070  0.248
Y  0.228  0.430  0.748
Y  0.772  0.570  0.252
Y  0.772  0.930  0.752
Ti  0.500  0.000  0.000
Ti  0.500  0.500  0.500
Ni  0.000  0.000  0.500
Ni  0.000  0.500  0.000
O  0.145  0.187  0.945
O  0.145  0.313  0.445
O  0.254  0.705  0.938
O  0.254  0.795  0.438
O  0.372  0.043  0.757
O  0.372  0.457  0.257
O  0.628  0.543  0.743
O  0.628  0.957  0.243
O  0.746  0.205  0.562
O  0.746  0.295  0.062
O  0.855  0.687  0.555
O  0.855  0.813  0.055